No. 1
Diffraction record for Tb4Y5Tl2. The PXRD pattern is theoretical, not measured: it uses a cell relaxed with PBE and Cu Kα (weighted mean of Kα1 and Kα2).
Kinematic intensities with the Lorentz-polarization factor, no thermal factor.

```
Tb4Y5Tl2
1.0
2.615 1.510 15.808
-2.615 1.510 15.808
0.000 -3.019 15.808
Tb Y Tl
4 5 2
Cartesian
0.000 0.000 3.471
0.000 0.000 10.680
0.000 0.000 36.743
0.000 0.000 43.953
0.000 0.000 0.000
0.000 0.000 7.008
0.000 0.000 14.299
0.000 0.000 33.125
0.000 0.000 40.416
0.000 0.000 17.988
0.000 0.000 29.435
```

Peak list (6 most intense, 2θ = 10–90°, most intense first)
Position (°2θ)  I_rel
31.5  1000
34.3  954
47.2  324
59.7  321
33.0  192
23.6  181

***

No. 2
Diffraction record for TbY3Tl2. The PXRD pattern is theoretical, not measured: it uses a cell relaxed with PBE and Cu Kα (weighted mean of Kα1 and Kα2).
Kinematic intensities with the Lorentz-polarization factor, no thermal factor.

```
TbY3Tl2
1.0
5.099 0.000 0.000
0.000 10.011 0.000
0.000 0.000 6.846
Tb Y Tl
2 6 4
Cartesian
0.000 0.432 0.000
0.000 9.579 3.423
0.000 3.128 4.279
0.000 6.882 0.856
2.549 1.883 1.922
2.549 4.566 6.208
2.549 5.445 2.785
2.549 8.128 5.345
0.000 3.681 1.113
0.000 6.330 4.535
2.549 1.329 5.096
2.549 8.682 1.674
```

Peak list (6 most intense, 2θ = 10–90°, most intense first)
Position (°2θ)  I_rel
32.1  1000
32.8  980
35.2  621
31.5  580
34.7  457
22.0  318

***

No. 3
Diffraction record for TbTlZn. The PXRD pattern is theoretical, not measured: it uses a cell relaxed with PBE and Cu Kα (weighted mean of Kα1 and Kα2).
Kinematic intensities with the Lorentz-polarization factor, no thermal factor.

```
TbTlZn
1.0
-2.357 3.657 4.116
2.357 -3.657 4.116
2.357 3.657 -4.116
Tb Tl Zn
2 2 2
Cartesian
0.000 0.000 0.000
0.000 3.657 0.023
2.357 1.700 1.392
0.000 1.957 5.508
2.357 1.415 -1.385
0.000 2.242 2.731
```

Peak list (6 most intense, 2θ = 10–90°, most intense first)
Position (°2θ)  I_rel
32.8  1000
37.9  440
38.2  216
51.2  198
64.3  126
21.7  124

***

No. 4
Diffraction record for Tb8Tm3. The PXRD pattern is theoretical, not measured: it uses a cell relaxed with PBE and Cu Kα (weighted mean of Kα1 and Kα2).
Kinematic intensities with the Lorentz-polarization factor, no thermal factor.

```
Tb8Tm3
1.0
5.949 3.434 2.921
-5.949 3.434 2.921
0.000 -6.869 2.921
Tb Tm
8 3
Cartesian
-2.272 -2.090 4.187
0.000 0.000 2.070
-2.947 0.923 4.575
0.674 -3.013 4.575
-0.674 3.013 4.187
2.947 -0.923 4.187
0.000 0.000 6.692
2.272 2.090 4.575
-5.949 0.000 4.381
-2.974 1.717 1.460
2.974 1.717 1.460
```

Peak list (6 most intense, 2θ = 10–90°, most intense first)
Position (°2θ)  I_rel
30.0  1000
30.7  759
43.4  517
30.6  457
33.0  350
37.6  337

***

No. 5
Diffraction record for TbTm7. The PXRD pattern is theoretical, not measured: it uses a cell relaxed with PBE and Cu Kα (weighted mean of Kα1 and Kα2).
Kinematic intensities with the Lorentz-polarization factor, no thermal factor.

```
TbTm7
1.0
-1.736 5.463 6.391
1.736 -5.463 6.391
1.736 5.463 -6.391
Tb Tm
1 7
Cartesian
0.000 0.000 0.000
1.736 2.958 -1.705
1.736 0.000 3.083
1.736 2.958 1.705
0.000 5.463 0.000
0.000 2.505 4.686
0.000 5.463 3.308
0.000 2.505 8.096
```

Peak list (6 most intense, 2θ = 10–90°, most intense first)
Position (°2θ)  I_rel
32.5  1000
31.3  727
33.3  482
32.8  454
63.3  310
47.4  307

***

No. 6
Diffraction record for TbTm4. The PXRD pattern is theoretical, not measured: it uses a cell relaxed with PBE and Cu Kα (weighted mean of Kα1 and Kα2).
Kinematic intensities with the Lorentz-polarization factor, no thermal factor.

```
TbTm4
1.0
6.199 0.000 0.000
0.000 9.081 0.000
-2.480 0.000 5.535
Tb Tm
2 8
Cartesian
-0.620 1.050 1.384
-1.860 8.030 4.151
0.343 3.969 2.775
1.583 5.112 0.008
-0.232 1.645 5.165
1.009 7.436 2.397
2.709 1.645 3.138
3.950 7.436 0.370
2.135 3.969 5.528
3.375 5.112 2.760
```

Peak list (6 most intense, 2θ = 10–90°, most intense first)
Position (°2θ)  I_rel
33.3  1000
29.5  872
34.4  531
30.7  475
35.2  375
33.2  313